No. 1
Structure and simulated X-ray diffraction stick pattern of TiCrAgS4 (DFT lattice parameters and positions (PBE); Cu Kα (weighted mean of Kα1 and Kα2)).

Crystal structure
abc: 5.9181 3.4767 6.5348
angles: 90.00 92.58 90.00
Space group P2/m (No. 10)
Unique sites:
1 Ti 0.0000 0.0000 0.0000
2 Cr 0.5000 0.5000 0.0000
3 Ag 0.5000 0.5000 0.5000
4 S 0.1758 0.5000 0.2138
5 S 0.3273 0.0000 0.7885

Principal peaks in the range 10° ≤ 2θ ≤ 80°, low angle first:
Position (°2θ), d/Å, I/Imax
14.99, 5.912, 92
19.80, 4.484, 39
20.72, 4.287, 34
29.10, 3.069, 30
29.81, 2.997, 58
32.60, 2.746, 44
40.23, 2.242, 58
40.39, 2.233, 49
41.36, 2.183, 100
53.44, 1.715, 54

***

No. 2
Structure and simulated X-ray diffraction stick pattern of TiCrAgS4 (DFT lattice parameters and positions (PBE); Cu Kα (weighted mean of Kα1 and Kα2)).

Crystal structure
abc: 9.1550 11.6416 5.8174
angles: 90.00 90.00 90.00
Space group Pmc2_1 (No. 26)
Unique sites:
1 Ti 0.0000 0.0120 0.0000
2 Ti 0.0000 0.2217 0.6364
3 Cr 0.5000 0.2858 0.3518
4 Cr 0.5000 0.4901 0.9673
5 Ag 0.0000 0.3826 0.1805
6 Ag 0.5000 0.1108 0.7908
7 S 0.0000 0.1711 0.2556
8 S 0.0000 0.4034 0.7431
9 S 0.1825 0.0941 0.7447
10 S 0.3306 0.4073 0.2266
11 S 0.5000 0.1117 0.2333
12 S 0.5000 0.3297 0.7161

Principal peaks in the range 10° ≤ 2θ ≤ 80°, low angle first:
Position (°2θ), d/Å, I/Imax
19.39, 4.578, 100
21.60, 4.115, 38
30.73, 2.909, 24
33.22, 2.697, 17
34.02, 2.635, 16
39.37, 2.289, 18
39.95, 2.256, 24
40.68, 2.218, 22
43.69, 2.072, 24
49.22, 1.851, 24

***

No. 3
Structure and simulated X-ray diffraction stick pattern of TiCrAgS4 (DFT lattice parameters and positions (PBE); Cu Kα (weighted mean of Kα1 and Kα2)).

Crystal structure
abc: 5.9688 6.9213 13.8958
angles: 75.80 89.64 89.92
Space group P1 (No. 1)
Unique sites:
1 Ti 0.0000 0.0000 0.0000
2 Ti 0.0035 0.5019 0.9967
3 Ti 0.4069 0.7326 0.5016
4 Ti 0.8688 0.0374 0.5072
5 Cr 0.3903 0.2564 0.5032
6 Cr 0.5502 0.2506 0.9974
7 Cr 0.5508 0.7521 0.9978
8 Cr 0.8819 0.5093 0.5024
9 Ag 0.0567 0.6106 0.7758
10 Ag 0.3716 0.1256 0.7478
11 Ag 0.3763 0.3380 0.2679
12 Ag 0.4059 0.8749 0.2717
13 S 0.0504 0.7136 0.5971
14 S 0.0555 0.2182 0.6062
15 S 0.2137 0.2915 0.8991
16 S 0.2142 0.5524 0.3992
17 S 0.2142 0.8066 0.8996
18 S 0.2196 0.0560 0.4053
19 S 0.3730 0.4561 0.0895
20 S 0.3731 0.9549 0.0918
21 S 0.5450 0.9560 0.6081
22 S 0.5593 0.4502 0.6091
23 S 0.6929 0.5545 0.8897
24 S 0.6994 0.0539 0.8900
25 S 0.7176 0.3180 0.3970
26 S 0.7332 0.8119 0.4001
27 S 0.8666 0.2003 0.1050
28 S 0.8667 0.6962 0.1052

Principal peaks in the range 10° ≤ 2θ ≤ 80°, low angle first:
Position (°2θ), d/Å, I/Imax
14.84, 5.969, 62
19.93, 4.456, 100
25.73, 3.462, 65
29.01, 3.078, 65
30.57, 2.924, 85
32.73, 2.736, 67
32.84, 2.727, 67
40.21, 2.243, 64
45.27, 2.003, 65
53.10, 1.725, 94

***

No. 4
Structure and simulated X-ray diffraction stick pattern of TiCrAgS4 (DFT lattice parameters and positions (PBE); Cu Kα (weighted mean of Kα1 and Kα2)).

Crystal structure
abc: 6.4679 7.6382 12.9930
angles: 99.00 95.25 90.24
Space group P1 (No. 1)
Unique sites:
1 Ti 0.0000 0.0000 0.0000
2 Ti 0.0769 0.1972 0.7141
3 Ti 0.4800 0.7290 0.9901
4 Ti 0.7040 0.5831 0.4261
5 Cr 0.2116 0.3308 0.4260
6 Cr 0.2193 0.8397 0.4299
7 Cr 0.4587 0.2351 0.9881
8 Cr 0.6100 0.4001 0.7081
9 Ag 0.1066 0.6656 0.7098
10 Ag 0.6003 0.9156 0.7061
11 Ag 0.7507 0.1084 0.4122
12 Ag 0.9767 0.4602 0.0077
13 S 0.0444 0.5752 0.3729
14 S 0.0981 0.0589 0.3509
15 S 0.1613 0.7620 0.0587
16 S 0.1830 0.2375 0.0903
17 S 0.2237 0.9041 0.5976
18 S 0.2750 0.3602 0.6026
19 S 0.4469 0.2132 0.8101
20 S 0.4787 0.6660 0.8142
21 S 0.5148 0.3361 0.3506
22 S 0.5342 0.8201 0.3703
23 S 0.6179 0.5031 0.0641
24 S 0.6545 0.0048 0.0465
25 S 0.7314 0.6132 0.6014
26 S 0.7642 0.1544 0.6107
27 S 0.9372 0.4383 0.8104
28 S 0.9946 0.9732 0.8249

Principal peaks in the range 10° ≤ 2θ ≤ 80°, low angle first:
Position (°2θ), d/Å, I/Imax
20.86, 4.259, 100
27.21, 3.277, 39
27.68, 3.223, 27
28.69, 3.112, 29
29.23, 3.055, 31
32.93, 2.720, 29
33.29, 2.691, 55
47.62, 1.909, 24
48.39, 1.881, 23
49.03, 1.858, 24

***

No. 5
Structure and simulated X-ray diffraction stick pattern of TiCrAgS4 (DFT lattice parameters and positions (PBE); Cu Kα (weighted mean of Kα1 and Kα2)).

Crystal structure
abc: 3.4618 11.2334 12.8748
angles: 90.00 90.00 90.00
Space group Pmn2_1 (No. 31)
Unique sites:
1 Ti 0.0000 0.1791 0.0000
2 Ti 0.0000 0.1994 0.5280
3 Cr 0.0000 0.6641 0.3217
4 Cr 0.0000 0.6908 0.8005
5 Ag 0.0000 0.0023 0.7285
6 Ag 0.0000 0.4972 0.6009
7 S 0.0000 0.1668 0.3409
8 S 0.0000 0.2837 0.7031
9 S 0.0000 0.3777 0.9440
10 S 0.0000 0.4527 0.2604
11 S 0.0000 0.6571 0.9813
12 S 0.0000 0.7855 0.6263
13 S 0.0000 0.8700 0.3747
14 S 0.0000 0.9507 0.0576

Principal peaks in the range 10° ≤ 2θ ≤ 80°, low angle first:
Position (°2θ), d/Å, I/Imax
20.99, 4.232, 61
26.67, 3.343, 40
27.56, 3.237, 63
33.25, 2.694, 47
34.22, 2.620, 100
34.85, 2.574, 50
36.01, 2.494, 44
41.28, 2.187, 45
42.02, 2.150, 56
52.90, 1.731, 36

***

No. 6
Structure and simulated X-ray diffraction stick pattern of U3CrAg3S8 (DFT lattice parameters and positions (PBE); Cu Kα (weighted mean of Kα1 and Kα2)).

Crystal structure
abc: 13.3361 7.8038 7.7382
angles: 90.00 124.66 90.00
Space group C2/m (No. 12)
Unique sites:
1 U 0.0000 0.0000 0.0000
2 U 0.2500 0.2500 0.5000
3 Cr 0.0000 0.5000 0.0000
4 Ag 0.0000 0.5000 0.5000
5 Ag 0.2500 0.2500 0.0000
6 S 0.0025 0.2647 0.2321
7 S 0.2328 0.5000 0.2386
8 S 0.2484 0.0000 0.2523

Principal peaks in the range 10° ≤ 2θ ≤ 80°, low angle first:
Position (°2θ), d/Å, I/Imax
14.10, 6.281, 24
16.14, 5.491, 24
26.81, 3.326, 14
28.05, 3.181, 53
28.42, 3.141, 17
32.61, 2.746, 100
46.55, 1.951, 36
47.03, 1.932, 35
58.00, 1.590, 18
77.43, 1.233, 16